Diffraction record for SrAcPd. The powder XRD pattern is calculated, not measured: it uses the PBE geometry in Alexandria and Cu Kα (weighted mean of Kα1 and Kα2).
Neutral-atom scattering factors, no anomalous dispersion.

Peak list (10 most intense, 10° ≤ 2θ ≤ 90°, sorted by position)
h k l, d/Å, I_rel
1 0 2, 3.569, 65
1 1 0, 3.097, 100
0 0 4, 3.079, 49
1 1 1, 3.003, 31
0 2 0, 2.194, 19
2 0 0, 2.184, 94
0 2 4, 1.787, 20
2 0 4, 1.782, 20
3 1 0, 1.383, 26
1 1 8, 1.378, 20

```
data_SrAcPd
_cell_length_a 4.3698
_cell_length_b 4.3889
_cell_length_c 12.3152
_cell_angle_alpha 90.00
_cell_angle_beta 90.07
_cell_angle_gamma 90.00
_space_group_name_H-M_alt 'P 1 21/m 1'
_space_group_IT_number 11
loop_
_space_group_symop_operation_xyz
'x,y,z'
'-x,-y,-z'
'-x,y+1/2,-z'
'x,-y+1/2,z'
loop_
_atom_site_label
_atom_site_type_symbol
_atom_site_fract_x
_atom_site_fract_y
_atom_site_fract_z
Sr1 Sr 0.2502 0.2500 0.1218
Ac1 Ac 0.2498 0.2500 0.6218
Pd1 Pd 0.2504 0.2500 0.3705
```

---

Diffraction record for SrAc2Pd. The powder XRD pattern is calculated, not measured: it uses the PBE geometry in Alexandria and Cu Kα (weighted mean of Kα1 and Kα2).
Neutral-atom scattering factors, no anomalous dispersion.

Peak list (10 most intense, 10° ≤ 2θ ≤ 90°, sorted by position)
h k l, d/Å, I_rel
0 0 9, 3.477, 22
1 0 4, 3.421, 47
0 1 5, 3.251, 100
0 1 8, 2.727, 37
1 0 10, 2.417, 20
1 1 0, 2.196, 44
1 0 13, 2.034, 30
1 1 9, 1.857, 23
2 0 5, 1.820, 19
1 1 18, 1.363, 20

```
data_SrAc2Pd
_cell_length_a 4.3923
_cell_length_b 4.3923
_cell_length_c 31.2947
_cell_angle_alpha 90.00
_cell_angle_beta 90.00
_cell_angle_gamma 120.00
_space_group_name_H-M_alt 'R 3 m'
_space_group_IT_number 160
_space_group_name_Hall 'R 3 -2"'
loop_
_atom_site_label
_atom_site_type_symbol
_atom_site_fract_x
_atom_site_fract_y
_atom_site_fract_z
Sr1 Sr 0.0000 0.0000 0.0000
Ac1 Ac 0.0000 0.0000 0.5531
Ac2 Ac 0.0000 0.0000 0.7782
Pd1 Pd 0.0000 0.0000 0.1654
```

---

Diffraction record for SrAc2Pd3. The powder XRD pattern is calculated, not measured: it uses the PBE geometry in Alexandria and Cu Kα (weighted mean of Kα1 and Kα2).
Neutral-atom scattering factors, no anomalous dispersion.

Peak list (10 most intense, 10° ≤ 2θ ≤ 90°, sorted by position)
h k l, d/Å, I_rel
1 1 1, 6.953, 9
2 2 0, 3.601, 10
2 0 6, 3.119, 100
0 0 12, 2.205, 76
4 2 6, 1.881, 6
0 4 12, 1.801, 27
4 0 12, 1.559, 13
2 0 18, 1.395, 35
2 4 18, 1.273, 26
4 8 12, 1.103, 7

```
data_SrAc2Pd3
_cell_length_a 8.8281
_cell_length_b 12.4761
_cell_length_c 26.4418
_cell_angle_alpha 90.00
_cell_angle_beta 90.00
_cell_angle_gamma 90.00
_space_group_name_H-M_alt 'F d d d'
_space_group_IT_number 70
loop_
_space_group_symop_operation_xyz
'x,y,z'
'-x,-y,-z'
'-x+1/4,-y+1/4,z'
'x+1/4,y+1/4,-z'
'x,-y+1/4,-z+1/4'
'-x,y+1/4,z+1/4'
'-x+1/4,y,-z+1/4'
'x+1/4,-y,z+1/4'
'x,y+1/2,z+1/2'
'-x,-y+1/2,-z+1/2'
'-x+1/4,-y+3/4,z+1/2'
'x+1/4,y+3/4,-z+1/2'
'x,-y+3/4,-z+3/4'
'-x,y+3/4,z+3/4'
'-x+1/4,y+1/2,-z+3/4'
'x+1/4,-y+1/2,z+3/4'
'x+1/2,y,z+1/2'
'-x+1/2,-y,-z+1/2'
'-x+3/4,-y+1/4,z+1/2'
'x+3/4,y+1/4,-z+1/2'
'x+1/2,-y+1/4,-z+3/4'
'-x+1/2,y+1/4,z+3/4'
'-x+3/4,y,-z+3/4'
'x+3/4,-y,z+3/4'
'x+1/2,y+1/2,z'
'-x+1/2,-y+1/2,-z'
'-x+3/4,-y+3/4,z'
'x+3/4,y+3/4,-z'
'x+1/2,-y+3/4,-z+1/4'
'-x+1/2,y+3/4,z+1/4'
'-x+3/4,y+1/2,-z+1/4'
'x+3/4,-y+1/2,z+1/4'
loop_
_atom_site_label
_atom_site_type_symbol
_atom_site_fract_x
_atom_site_fract_y
_atom_site_fract_z
Sr1 Sr 0.1250 0.1250 0.0415
Ac1 Ac 0.1250 0.1250 0.3748
Ac2 Ac 0.1250 0.1250 0.5418
Pd1 Pd 0.1172 0.3750 0.8750
Pd2 Pd 0.1202 0.3705 0.7067
```

---

Diffraction record for AcTbPd. The powder XRD pattern is calculated, not measured: it uses the PBE geometry in Alexandria and Cu Kα (weighted mean of Kα1 and Kα2).
Neutral-atom scattering factors, no anomalous dispersion.

Peak list (10 most intense, 10° ≤ 2θ ≤ 90°, sorted by position)
h k l, d/Å, I_rel
1 1 0, 3.521, 23
1 1 1, 3.171, 100
1 0 2, 2.943, 74
1 1 2, 2.534, 33
2 0 0, 2.490, 73
1 0 3, 2.186, 27
2 1 2, 1.901, 43
2 2 0, 1.760, 26
2 1 3, 1.643, 22
3 1 1, 1.539, 25

```
data_AcTbPd
_cell_length_a 4.9792
_cell_length_b 4.9792
_cell_length_c 7.2977
_cell_angle_alpha 90.00
_cell_angle_beta 90.00
_cell_angle_gamma 90.00
_space_group_name_H-M_alt 'P 4/n m m'
_space_group_IT_number 129
loop_
_space_group_symop_operation_xyz
'x,y,z'
'-x,-y,-z'
'-y+1/2,x,z'
'y+1/2,-x,-z'
'-x+1/2,-y+1/2,z'
'x+1/2,y+1/2,-z'
'y,-x+1/2,z'
'-y,x+1/2,-z'
'x+1/2,-y,-z'
'-x+1/2,y,z'
'-y,-x,-z'
'y,x,z'
'-x,y+1/2,-z'
'x,-y+1/2,z'
'y+1/2,x+1/2,-z'
'-y+1/2,-x+1/2,z'
loop_
_atom_site_label
_atom_site_type_symbol
_atom_site_fract_x
_atom_site_fract_y
_atom_site_fract_z
Ac1 Ac 0.2500 0.2500 0.1160
Tb1 Tb 0.2500 0.7500 0.5000
Pd1 Pd 0.2500 0.2500 0.7055
```

---

Diffraction record for AcTcPd. The powder XRD pattern is calculated, not measured: it uses the PBE geometry in Alexandria and Cu Kα (weighted mean of Kα1 and Kα2).
Neutral-atom scattering factors, no anomalous dispersion.

Peak list (10 most intense, 10° ≤ 2θ ≤ 90°, sorted by position)
h k l, d/Å, I_rel
1 0 0, 3.614, 14
0 0 3, 3.546, 12
1 0 2, 2.989, 40
1 1 0, 2.555, 76
1 0 3, 2.531, 100
2 0 0, 1.807, 27
1 1 5, 1.635, 20
2 1 2, 1.546, 12
2 1 3, 1.471, 38
3 1 0, 1.143, 12

```
data_AcTcPd
_cell_length_a 3.6139
_cell_length_b 3.6139
_cell_length_c 10.6369
_cell_angle_alpha 90.00
_cell_angle_beta 90.00
_cell_angle_gamma 90.00
_space_group_name_H-M_alt 'P 4/m m m'
_space_group_IT_number 123
_space_group_name_Hall '-P 4 2'
loop_
_atom_site_label
_atom_site_type_symbol
_atom_site_fract_x
_atom_site_fract_y
_atom_site_fract_z
Ac1 Ac 0.0000 0.0000 0.1881
Tc1 Tc 0.5000 0.5000 0.3931
Pd1 Pd 0.0000 0.0000 0.5000
Pd2 Pd 0.5000 0.5000 0.0000
```

---

Diffraction record for Ac2TePd. The powder XRD pattern is calculated, not measured: it uses the PBE geometry in Alexandria and Cu Kα (weighted mean of Kα1 and Kα2).
Neutral-atom scattering factors, no anomalous dispersion.

Peak list (10 most intense, 10° ≤ 2θ ≤ 90°, sorted by position)
h k l, d/Å, I_rel
0 1 2, 3.681, 12
1 0 4, 3.263, 100
0 1 8, 2.394, 37
1 1 0, 2.229, 37
0 2 4, 1.840, 20
2 0 8, 1.631, 11
1 1 12, 1.503, 13
2 1 4, 1.419, 21
0 1 17, 1.346, 7
1 2 8, 1.316, 11

```
data_Ac2TePd
_cell_length_a 4.4574
_cell_length_b 4.4574
_cell_length_c 24.4171
_cell_angle_alpha 90.00
_cell_angle_beta 90.00
_cell_angle_gamma 120.00
_space_group_name_H-M_alt 'R -3 m'
_space_group_IT_number 166
_space_group_name_Hall '-R 3 2"'
loop_
_atom_site_label
_atom_site_type_symbol
_atom_site_fract_x
_atom_site_fract_y
_atom_site_fract_z
Ac1 Ac 0.0000 0.0000 0.2387
Te1 Te 0.0000 0.0000 0.0000
Pd1 Pd 0.0000 0.0000 0.5000
```

---

Diffraction record for AcTe3Pd3. The powder XRD pattern is calculated, not measured: it uses the PBE geometry in Alexandria and Cu Kα (weighted mean of Kα1 and Kα2).
Neutral-atom scattering factors, no anomalous dispersion.

Peak list (10 most intense, 10° ≤ 2θ ≤ 90°, sorted by position)
h k l, d/Å, I_rel
2 0 0, 3.675, 42
2 1 1, 3.000, 100
2 2 2, 2.122, 14
3 2 1, 1.964, 60
4 0 0, 1.837, 25
4 2 0, 1.643, 17
3 3 2, 1.567, 15
5 2 1, 1.342, 17
4 4 0, 1.299, 16
6 1 1, 1.192, 18

```
data_AcTe3Pd3
_cell_length_a 7.3492
_cell_length_b 7.3492
_cell_length_c 7.3492
_cell_angle_alpha 90.00
_cell_angle_beta 90.00
_cell_angle_gamma 90.00
_space_group_name_H-M_alt 'P m -3 n'
_space_group_IT_number 223
_space_group_name_Hall '-P 4n 2 3'
loop_
_atom_site_label
_atom_site_type_symbol
_atom_site_fract_x
_atom_site_fract_y
_atom_site_fract_z
Ac1 Ac 0.0000 0.0000 0.0000
Te1 Te 0.0000 0.2500 0.5000
Pd1 Pd 0.0000 0.5000 0.2500
```

---

Diffraction record for AcTePd4. The powder XRD pattern is calculated, not measured: it uses the PBE geometry in Alexandria and Cu Kα (weighted mean of Kα1 and Kα2).
Neutral-atom scattering factors, no anomalous dispersion.

Peak list (10 most intense, 10° ≤ 2θ ≤ 90°, sorted by position)
h k l, d/Å, I_rel
0 0 2, 3.785, 15
2 1 0, 2.871, 23
2 1 1, 2.686, 100
0 0 3, 2.526, 25
1 0 3, 2.394, 19
2 1 2, 2.288, 79
0 2 0, 2.207, 35
4 0 0, 1.890, 15
0 2 3, 1.662, 14
4 2 0, 1.435, 15

```
data_AcTePd4
_cell_length_a 7.5582
_cell_length_b 4.4135
_cell_length_c 7.5794
_cell_angle_alpha 90.00
_cell_angle_beta 90.00
_cell_angle_gamma 90.00
_space_group_name_H-M_alt 'P m m a'
_space_group_IT_number 51
loop_
_space_group_symop_operation_xyz
'x,y,z'
'-x,-y,-z'
'-x+1/2,-y,z'
'x+1/2,y,-z'
'x+1/2,-y,-z'
'-x+1/2,y,z'
'-x,y,-z'
'x,-y,z'
loop_
_atom_site_label
_atom_site_type_symbol
_atom_site_fract_x
_atom_site_fract_y
_atom_site_fract_z
Ac1 Ac 0.2500 0.0000 0.1607
Te1 Te 0.2500 0.0000 0.7333
Pd1 Pd 0.0000 0.0000 0.5000
Pd2 Pd 0.0452 0.5000 0.8040
Pd3 Pd 0.2500 0.5000 0.4504
```

---

Diffraction record for Ac3Te4Pd3. The powder XRD pattern is calculated, not measured: it uses the PBE geometry in Alexandria and Cu Kα (weighted mean of Kα1 and Kα2).
Neutral-atom scattering factors, no anomalous dispersion.

Peak list (10 most intense, 10° ≤ 2θ ≤ 90°, sorted by position)
h k l, d/Å, I_rel
2 1 1, 4.220, 12
3 1 0, 3.268, 41
3 2 1, 2.762, 100
4 2 0, 2.311, 48
3 3 2, 2.204, 14
4 2 2, 2.110, 15
6 1 1, 1.677, 19
6 2 0, 1.634, 13
5 5 2, 1.407, 17
9 2 1, 1.115, 14

```
data_Ac3Te4Pd3
_cell_length_a 10.3357
_cell_length_b 10.3357
_cell_length_c 10.3357
_cell_angle_alpha 90.00
_cell_angle_beta 90.00
_cell_angle_gamma 90.00
_space_group_name_H-M_alt 'I -4 3 d'
_space_group_IT_number 220
_space_group_name_Hall 'I -4bd 2c 3'
loop_
_atom_site_label
_atom_site_type_symbol
_atom_site_fract_x
_atom_site_fract_y
_atom_site_fract_z
Ac1 Ac 0.0000 0.2500 0.3750
Te1 Te 0.0814 0.0814 0.0814
Pd1 Pd 0.0000 0.2500 0.8750
```

---

Diffraction record for AcTl2Pd6. The powder XRD pattern is calculated, not measured: it uses the PBE geometry in Alexandria and Cu Kα (weighted mean of Kα1 and Kα2).
Neutral-atom scattering factors, no anomalous dispersion.

Peak list (10 most intense, 10° ≤ 2θ ≤ 90°, sorted by position)
h k l, d/Å, I_rel
1 0 1, 4.075, 90
1 1 0, 2.834, 26
2 0 0, 2.454, 49
2 0 1, 2.327, 82
1 1 2, 2.240, 100
1 0 3, 2.183, 59
3 0 2, 1.493, 28
2 1 3, 1.476, 34
2 2 0, 1.417, 31
2 0 5, 1.256, 27

```
data_AcTl2Pd6
_cell_length_a 5.6677
_cell_length_b 5.6677
_cell_length_c 7.3107
_cell_angle_alpha 90.00
_cell_angle_beta 90.00
_cell_angle_gamma 120.00
_space_group_name_H-M_alt 'P 6/m m m'
_space_group_IT_number 191
_space_group_name_Hall '-P 6 2'
loop_
_atom_site_label
_atom_site_type_symbol
_atom_site_fract_x
_atom_site_fract_y
_atom_site_fract_z
Ac1 Ac 0.0000 0.0000 0.0000
Tl1 Tl 0.3333 0.6667 0.5000
Pd1 Pd 0.0000 0.5000 0.1885
```

---

Diffraction record for Ac3TlPd5. The powder XRD pattern is calculated, not measured: it uses the PBE geometry in Alexandria and Cu Kα (weighted mean of Kα1 and Kα2).
Neutral-atom scattering factors, no anomalous dispersion.

Peak list (10 most intense, 10° ≤ 2θ ≤ 90°, sorted by position)
h k l, d/Å, I_rel
2 0 2, 3.569, 21
0 0 4, 3.176, 19
2 2 0, 3.051, 58
2 1 3, 2.852, 100
3 1 0, 2.729, 32
2 0 4, 2.558, 51
4 0 2, 2.043, 31
2 0 6, 1.901, 23
4 1 3, 1.876, 25
4 2 4, 1.649, 26

```
data_Ac3TlPd5
_cell_length_a 8.6286
_cell_length_b 8.6286
_cell_length_c 12.7049
_cell_angle_alpha 90.00
_cell_angle_beta 90.00
_cell_angle_gamma 90.00
_space_group_name_H-M_alt 'I 4/m c m'
_space_group_IT_number 140
_space_group_name_Hall '-I 4 2c'
loop_
_atom_site_label
_atom_site_type_symbol
_atom_site_fract_x
_atom_site_fract_y
_atom_site_fract_z
Ac1 Ac 0.0000 0.0000 0.2500
Ac2 Ac 0.1430 0.3570 0.0000
Tl1 Tl 0.0000 0.5000 0.2500
Pd1 Pd 0.0000 0.0000 0.0000
Pd2 Pd 0.1957 0.3043 0.3467
```

---

Diffraction record for Ac3TlPd3. The powder XRD pattern is calculated, not measured: it uses the PBE geometry in Alexandria and Cu Kα (weighted mean of Kα1 and Kα2).
Neutral-atom scattering factors, no anomalous dispersion.

Peak list (10 most intense, 10° ≤ 2θ ≤ 90°, sorted by position)
h k l, d/Å, I_rel
1 1 0, 4.682, 27
1 1 1, 3.708, 30
2 0 1, 3.373, 26
1 2 0, 3.065, 27
0 0 2, 3.037, 60
3 0 0, 2.703, 100
1 2 2, 2.158, 21
3 0 2, 2.019, 87
2 4 2, 1.369, 19
3 0 4, 1.324, 22

```
data_Ac3TlPd3
_cell_length_a 9.3648
_cell_length_b 9.3648
_cell_length_c 6.0744
_cell_angle_alpha 90.00
_cell_angle_beta 90.00
_cell_angle_gamma 120.00
_space_group_name_H-M_alt 'P 63/m'
_space_group_IT_number 176
_space_group_name_Hall '-P 6c'
loop_
_atom_site_label
_atom_site_type_symbol
_atom_site_fract_x
_atom_site_fract_y
_atom_site_fract_z
Ac1 Ac 0.0437 0.6944 0.2500
Tl1 Tl 0.3333 0.6667 0.7500
Pd1 Pd 0.0398 0.6798 0.7500
```